# 1
# LiBi3O6
Simulated powder X-ray diffraction pattern, Cu Kα, 1.54184 Å. Input: the GGA-PBE geometry in the Materials Project.
Lines closer than 0.1° are merged.

Principal peaks in the range 10 to 90 degrees two-theta, sorted by position:
(hkl), d/Å, 2theta, I_rel
2 0 0, 5.399, 16.42, 28
2 1 1, 4.408, 20.14, 21
2 2 0, 3.818, 23.30, 33
2 2 2, 3.117, 28.64, 100
4 0 0, 2.700, 33.19, 34
4 1 1, 2.545, 35.26, 14
4 0 2, 2.415, 37.24, 19
4 1 3, 2.118, 42.70, 19
4 4 0, 1.909, 47.64, 34
6 2 2, 1.628, 56.53, 25

Structural model:
Unit cell a=10.7982 b=10.7982 c=10.7982 alpha=90.00 beta=90.00 gamma=90.00
Space group I2_13 (No. 199)
One atom of each set of equivalent atoms:
Li  0.2345  0.2655  0.7345 [8 per cell]
Bi  0.0000  0.2500  0.4631 [12 per cell]
Bi  0.0000  0.2500  0.9634 [12 per cell]
O  0.0881  0.3547  0.1143 [24 per cell]
O  0.1188  0.3760  0.8433 [24 per cell]

# 2
# Ga2S3
Simulated powder X-ray diffraction pattern, Cu Kα, 1.54184 Å. Input: the GGA-PBE geometry in the Materials Project.
Lines closer than 0.1° are merged.

Principal peaks in the range 10 to 90 degrees two-theta, sorted by position:
(hkl), d/Å, 2theta, I_rel
1 1 0, 5.405, 16.40, 30
0 2 1, 4.165, 21.33, 20
1 3 -1, 3.073, 29.06, 100
0 0 2, 3.050, 29.29, 44
0 6 0, 1.900, 47.88, 18
2 0 2, 1.886, 48.25, 15
3 3 -1, 1.875, 48.55, 28
1 3 -3, 1.867, 48.78, 29
3 3 1, 1.612, 57.16, 19
2 6 2, 1.339, 70.33, 9

Structural model:
Unit cell a=6.4700 b=11.3993 c=6.4314 alpha=90.00 beta=108.43 gamma=90.00
Space group Cc (No. 9)
One atom of each set of equivalent atoms:
Ga  0.0000  0.0836  0.0000 [4 per cell]
Ga  0.4702  0.2466  0.9995 [4 per cell]
S  0.3456  0.4200  0.1171 [4 per cell]
S  0.3539  0.2490  0.6143 [4 per cell]
S  0.3619  0.0849  0.1295 [4 per cell]

# 3
# Ca3PbO
Simulated powder X-ray diffraction pattern, Cu Kα, 1.54184 Å. Input: the GGA-PBE geometry in the Materials Project.
Lines closer than 0.1° are merged.

Principal peaks in the range 10 to 90 degrees two-theta, sorted by position:
(hkl), d/Å, 2theta, I_rel
1 0 0, 4.884, 18.17, 56
1 1 0, 3.453, 25.80, 80
1 1 1, 2.819, 31.74, 100
2 0 0, 2.442, 36.81, 61
2 1 0, 2.184, 41.34, 33
2 1 1, 1.994, 45.50, 37
2 2 0, 1.727, 53.04, 41
3 1 1, 1.472, 63.14, 41
3 2 1, 1.305, 72.41, 19
4 2 0, 1.092, 89.82, 19

Structural model:
Unit cell a=4.8835 b=4.8835 c=4.8835 alpha=90.00 beta=90.00 gamma=90.00
Space group Pm-3m (No. 221)
One atom of each set of equivalent atoms:
Ca  0.0000  0.0000  0.5000 [3 per cell]
Pb  0.5000  0.5000  0.5000 [1 per cell]
O  0.0000  0.0000  0.0000 [1 per cell]

# 4
# BaTb2ZnO5
Simulated powder X-ray diffraction pattern, Cu Kα, 1.54184 Å. Input: the GGA-PBE geometry in the Materials Project.
Lines closer than 0.1° are merged.

Principal peaks in the range 10 to 90 degrees two-theta, sorted by position:
(hkl), d/Å, 2theta, I_rel
3 1 1, 3.057, 29.21, 100
1 1 2, 2.963, 30.17, 83
0 2 0, 2.891, 30.94, 54
4 0 1, 2.864, 31.23, 22
4 1 0, 2.746, 32.61, 20
3 1 2, 2.461, 36.52, 18
0 1 3, 2.213, 40.77, 17
4 2 1, 2.035, 44.53, 33
3 3 1, 1.699, 53.97, 22
4 2 3, 1.587, 58.11, 17

Structural model:
Unit cell a=12.4944 b=5.7811 c=7.1789 alpha=90.00 beta=90.00 gamma=90.00
Space group Pnma (No. 62)
One atom of each set of equivalent atoms:
Ba  0.1012  0.2500  0.0771 [4 per cell]
Tb  0.0745  0.7500  0.3995 [4 per cell]
Tb  0.2080  0.2500  0.6183 [4 per cell]
Zn  0.1499  0.7500  0.8085 [4 per cell]
O  0.0661  0.5023  0.6637 [8 per cell]
O  0.1000  0.7500  0.0738 [4 per cell]
O  0.2246  0.0010  0.3572 [8 per cell]

# 5
# Mg14SnW
Simulated powder X-ray diffraction pattern, Cu Kα, 1.54184 Å. Input: the GGA-PBE geometry in the Materials Project.
Lines closer than 0.1° are merged.

Principal peaks in the range 10 to 90 degrees two-theta, sorted by position:
(hkl), d/Å, 2theta, I_rel
0 0 2, 5.442, 16.29, 37
2 0 0, 5.129, 17.29, 31
1 0 2, 4.807, 18.46, 55
2 0 2, 3.732, 23.84, 29
0 2 2, 2.693, 33.26, 33
1 2 2, 2.605, 34.43, 23
4 0 0, 2.564, 34.99, 39
2 0 4, 2.404, 37.42, 53
2 2 2, 2.385, 37.72, 100
4 2 6, 1.336, 70.48, 23

Structural model:
Unit cell a=10.2572 b=6.1997 c=10.8832 alpha=90.00 beta=90.00 gamma=90.00
Space group Amm2 (No. 38)
One atom of each set of equivalent atoms:
Mg  0.0000  0.0000  0.0000 [2 per cell]
Mg  0.0000  0.0000  0.4985 [2 per cell]
Mg  0.0000  0.2477  0.2503 [4 per cell]
Mg  0.2433  0.0000  0.6668 [4 per cell]
Mg  0.2578  0.0000  0.1605 [4 per cell]
Mg  0.2581  0.2429  0.9172 [8 per cell]
Mg  0.5000  0.2494  0.7484 [4 per cell]
Sn  0.5000  0.0000  0.5031 [2 per cell]
W  0.5000  0.0000  0.9992 [2 per cell]